(1)
# Rb2TcHgCl6
Theoretical X-ray diffraction stick pattern, Cu Kα X-rays. Input: the GGA-PBE geometry in OQMD.
Lines closer than 0.1° are merged.

Crystal structure
```
Rb2TcHgCl6
1.0
3.5393 2.0434 9.1843
-3.5393 2.0434 9.1843
0.0000 -4.0869 9.1843
Rb Tc Hg Cl
2 1 1 6
direct
0.1278 0.1278 0.1278 Rb
0.8722 0.8722 0.8722 Rb
0.5000 0.5000 0.5000 Tc
0.0000 0.0000 0.0000 Hg
0.1364 0.6159 0.5938 Cl
0.3841 0.4062 0.8636 Cl
0.4062 0.8636 0.3841 Cl
0.5938 0.1364 0.6159 Cl
0.6159 0.5938 0.1364 Cl
0.8636 0.3841 0.4062 Cl
```

Most intense lines, 15 to 90 degrees two-theta, low angle first:
2θ (°), I_rel
15.82, 100
19.37, 39
25.16, 59
29.32, 36
29.75, 38
29.86, 24
31.93, 48
39.37, 62
47.27, 29
51.65, 22

***

(2)
# SiHg3S2Cl6
Theoretical X-ray diffraction stick pattern, Cu Kα X-rays. Input: the GGA-PBE geometry in OQMD.
Lines closer than 0.1° are merged.

Crystal structure
```
SiHg3S2Cl6
1.0
8.1761 0.0000 0.0000
-4.0881 7.0807 0.0000
0.0000 0.0000 6.0167
Si Hg S Cl
1 3 2 6
direct
0.0000 0.0000 0.0000 Si
0.0000 0.5000 0.5000 Hg
0.5000 0.0000 0.5000 Hg
0.5000 0.5000 0.5000 Hg
0.3333 0.6667 0.5951 S
0.6667 0.3333 0.4049 S
0.1284 0.2567 0.7880 Cl
0.1284 0.8716 0.7880 Cl
0.2567 0.1284 0.2120 Cl
0.7433 0.8716 0.7880 Cl
0.8716 0.1284 0.2120 Cl
0.8716 0.7433 0.2120 Cl
```

Most intense lines, 15 to 90 degrees two-theta, low angle first:
2θ (°), I_rel
19.36, 71
25.15, 58
29.27, 100
36.75, 25
39.30, 68
44.32, 30
46.95, 31
52.44, 19
54.26, 19
60.70, 18

***

(3)
# TbHg3S4Cl
Theoretical X-ray diffraction stick pattern, Cu Kα X-rays. Input: the GGA-PBE geometry in OQMD.
Lines closer than 0.1° are merged.

Crystal structure
```
TbHg3S4Cl
1.0
7.9357 0.0000 0.0000
-3.9679 6.8726 0.0000
0.0000 0.0000 8.1065
Tb Hg S Cl
2 6 8 2
direct
0.0000 0.0000 0.0000 Tb
0.0000 0.0000 0.5000 Tb
0.0140 0.5070 0.1767 Hg
0.4930 0.5070 0.1767 Hg
0.4930 0.9860 0.1767 Hg
0.5070 0.0140 0.6767 Hg
0.5070 0.4930 0.6767 Hg
0.9860 0.4930 0.6767 Hg
0.1424 0.2847 0.7448 S
0.1424 0.8576 0.7448 S
0.2847 0.1424 0.2448 S
0.3333 0.6667 0.0229 S
0.6667 0.3333 0.5229 S
0.7153 0.8576 0.7448 S
0.8576 0.1424 0.2448 S
0.8576 0.7153 0.2448 S
0.3333 0.6667 0.4480 Cl
0.6667 0.3333 0.9480 Cl
```

Most intense lines, 15 to 90 degrees two-theta, low angle first:
2θ (°), I_rel
21.93, 31
25.51, 31
25.93, 100
31.55, 44
34.21, 58
41.28, 25
45.48, 17
45.73, 38
51.27, 18
52.41, 22

***

(4)
# ZrHg3Se2Cl6
Theoretical X-ray diffraction stick pattern, Cu Kα X-rays. Input: the GGA-PBE geometry in OQMD.
Lines closer than 0.1° are merged.

Crystal structure
```
ZrHg3Se2Cl6
1.0
6.6836 0.0000 0.0000
0.0000 7.6690 0.0000
-0.4110 0.0000 13.3967
Zr Hg Se Cl
2 6 4 12
direct
0.0000 0.0000 0.0000 Zr
0.0000 0.5000 0.5000 Zr
0.4934 0.2048 0.2387 Hg
0.4934 0.2952 0.7387 Hg
0.5000 0.0000 0.5000 Hg
0.5000 0.5000 0.0000 Hg
0.5066 0.7048 0.2613 Hg
0.5066 0.7952 0.7613 Hg
0.3147 0.5373 0.8310 Se
0.3147 0.9627 0.3310 Se
0.6853 0.0373 0.6690 Se
0.6853 0.4627 0.1690 Se
0.1372 0.2192 0.5663 Cl
0.1372 0.2808 0.0663 Cl
0.1492 0.0513 0.8345 Cl
0.1492 0.4487 0.3345 Cl
0.3134 0.6500 0.5584 Cl
0.3134 0.8500 0.0584 Cl
0.6866 0.1500 0.9416 Cl
0.6866 0.3500 0.4416 Cl
0.8508 0.5513 0.6655 Cl
0.8508 0.9487 0.1655 Cl
0.8628 0.7192 0.9337 Cl
0.8628 0.7808 0.4337 Cl
```

Most intense lines, 15 to 90 degrees two-theta, low angle first:
2θ (°), I_rel
18.68, 100
19.02, 76
26.65, 74
26.79, 62
29.80, 99
30.21, 73
37.86, 64
38.48, 49
38.65, 28
47.11, 48

***

(5)
# Hg2W5Cl
Theoretical X-ray diffraction stick pattern, Cu Kα X-rays. Input: the GGA-PBE geometry in OQMD.
Lines closer than 0.1° are merged.

Crystal structure
```
Hg2W5Cl
1.0
5.8487 0.0000 0.0000
0.0000 5.8487 0.0000
0.0000 0.0000 4.4496
Hg W Cl
2 5 1
direct
0.0000 0.5000 0.0000 Hg
0.5000 0.0000 0.0000 Hg
0.0000 0.0000 0.0000 W
0.2867 0.2867 0.5000 W
0.2867 0.7133 0.5000 W
0.7133 0.2867 0.5000 W
0.7133 0.7133 0.5000 W
0.0000 0.0000 0.5000 Cl
```

Most intense lines, 15 to 90 degrees two-theta, low angle first:
2θ (°), I_rel
25.15, 18
29.49, 11
34.28, 11
36.78, 100
40.55, 24
43.78, 31
60.77, 10
61.19, 23
71.29, 15
75.82, 16

***

(6)
# HoCl2
Theoretical X-ray diffraction stick pattern, Cu Kα X-rays. Input: the GGA-PBE geometry in OQMD.
Lines closer than 0.1° are merged.

Crystal structure
```
HoCl2
1.0
6.8335 0.0000 0.0000
0.0000 6.8335 0.0000
0.0000 0.0000 3.4419
Ho Cl
2 4
direct
0.0000 0.0000 0.0000 Ho
0.5000 0.5000 0.5000 Ho
0.2194 0.2194 0.5000 Cl
0.2806 0.7194 0.0000 Cl
0.7194 0.2806 0.0000 Cl
0.7806 0.7806 0.5000 Cl
```

Most intense lines, 15 to 90 degrees two-theta, low angle first:
2θ (°), I_rel
18.36, 100
26.08, 14
29.05, 53
37.22, 31
39.43, 65
41.80, 22
47.89, 24
55.34, 14
62.16, 13
74.73, 14

***

(7)
# Ho4INCl4
Theoretical X-ray diffraction stick pattern, Cu Kα X-rays. Input: the GGA-PBE geometry in OQMD.
Lines closer than 0.1° are merged.

Crystal structure
```
Ho4INCl4
1.0
8.3387 -1.8532 0.0000
8.3387 1.8532 0.0000
-2.1194 0.0000 8.0384
Ho I N Cl
4 1 1 4
direct
0.0001 0.0001 0.1897 Ho
0.9999 0.9999 0.8103 Ho
0.3566 0.3566 0.9255 Ho
0.6434 0.6434 0.0745 Ho
0.5000 0.5000 0.5000 I
0.5000 0.5000 0.0000 N
0.1672 0.1672 0.3185 Cl
0.1704 0.1704 0.8499 Cl
0.8296 0.8296 0.1501 Cl
0.8328 0.8328 0.6815 Cl
```

Most intense lines, 15 to 90 degrees two-theta, low angle first:
2θ (°), I_rel
22.01, 21
29.78, 31
32.36, 100
32.87, 39
33.34, 42
35.16, 21
37.98, 26
40.77, 21
47.05, 24
47.24, 25

***

(8)
# Y2Ho2I3NCl2
Theoretical X-ray diffraction stick pattern, Cu Kα X-rays. Input: the GGA-PBE geometry in OQMD.
Lines closer than 0.1° are merged.

Crystal structure
```
Y2Ho2I3NCl2
1.0
9.0086 -1.9097 0.0000
9.0086 1.9097 0.0000
-1.4516 0.0000 8.1952
Y Ho I N Cl
2 2 3 1 2
direct
0.1319 0.1319 0.0611 Y
0.8681 0.8681 0.9389 Y
0.4980 0.4980 0.1889 Ho
0.5020 0.5020 0.8111 Ho
0.0000 0.0000 0.5000 I
0.3258 0.3258 0.1984 I
0.6742 0.6742 0.8016 I
0.0000 0.0000 0.0000 N
0.3516 0.3516 0.6981 Cl
0.6484 0.6484 0.3019 Cl
```

Most intense lines, 15 to 90 degrees two-theta, low angle first:
2θ (°), I_rel
26.60, 27
28.91, 17
30.23, 52
31.83, 100
34.50, 23
34.85, 29
35.46, 18
43.55, 35
45.37, 25
47.62, 20

***

(9)
# HoLuS2Cl2
Theoretical X-ray diffraction stick pattern, Cu Kα X-rays. Input: the GGA-PBE geometry in OQMD.
Lines closer than 0.1° are merged.

Crystal structure
```
HoLuS2Cl2
1.0
3.9220 0.0000 0.0000
0.0000 5.2948 0.0000
0.0000 0.0000 8.2937
Ho Lu S Cl
1 1 2 2
direct
0.0000 0.0000 0.0000 Ho
0.5000 0.5000 0.7247 Lu
0.0000 0.5000 0.9461 S
0.5000 0.0000 0.7711 S
0.0000 0.5000 0.5168 Cl
0.5000 0.0000 0.2148 Cl
```

Most intense lines, 15 to 90 degrees two-theta, low angle first:
2θ (°), I_rel
19.89, 100
25.12, 38
27.32, 23
28.32, 20
30.34, 37
31.39, 87
33.86, 38
42.62, 19
43.55, 40
46.84, 55

***

(10)
# Na2Ho3Te4Cl3O12
Theoretical X-ray diffraction stick pattern, Cu Kα X-rays. Input: the GGA-PBE geometry in OQMD.
Lines closer than 0.1° are merged.

Crystal structure
```
Na2Ho3Te4Cl3O12
1.0
11.8148 -2.7457 0.0000
11.8148 2.7457 0.0000
-11.4930 0.0000 11.8558
Na Ho Te Cl O
4 6 8 6 24
direct
0.0604 0.6078 0.9260 Na
0.3922 0.9396 0.5740 Na
0.6078 0.0604 0.4260 Na
0.9396 0.3922 0.0740 Na
0.2474 0.7513 0.9153 Ho
0.2487 0.7526 0.5847 Ho
0.2524 0.7476 0.2500 Ho
0.7476 0.2524 0.7500 Ho
0.7513 0.2474 0.4153 Ho
0.7526 0.2487 0.0847 Ho
0.0715 0.6576 0.2999 Te
0.1605 0.5632 0.5938 Te
0.3424 0.9285 0.2001 Te
0.4368 0.8395 0.9062 Te
0.5632 0.1605 0.0938 Te
0.6576 0.0715 0.7999 Te
0.8395 0.4368 0.4062 Te
0.9285 0.3424 0.7001 Te
0.0000 0.5000 0.0000 Cl
0.0026 0.4971 0.6685 Cl
0.4971 0.0026 0.1685 Cl
0.5000 0.0000 0.5000 Cl
0.5029 0.9974 0.8315 Cl
0.9974 0.5029 0.3315 Cl
0.0088 0.8552 0.2861 O
0.0304 0.1201 0.3884 O
0.0683 0.1018 0.0770 O
0.1018 0.0683 0.5770 O
0.1201 0.0304 0.8884 O
0.1448 0.9912 0.2139 O
0.3557 0.4985 0.7425 O
0.3822 0.4758 0.4093 O
0.3970 0.4302 0.0720 O
0.4302 0.3970 0.5720 O
0.4758 0.3822 0.9093 O
0.4985 0.3557 0.2425 O
0.5015 0.6443 0.7575 O
0.5242 0.6178 0.0907 O
0.5698 0.6030 0.4280 O
0.6030 0.5698 0.9280 O
0.6178 0.5242 0.5907 O
0.6443 0.5015 0.2575 O
0.8552 0.0088 0.7861 O
0.8799 0.9696 0.1116 O
0.8982 0.9317 0.4230 O
0.9317 0.8982 0.9230 O
0.9696 0.8799 0.6116 O
0.9912 0.1448 0.7139 O
```

Most intense lines, 15 to 90 degrees two-theta, low angle first:
2θ (°), I_rel
20.00, 13
23.97, 10
25.20, 32
31.21, 100
32.58, 31
42.64, 7
46.09, 13
46.73, 17
54.71, 14
57.32, 18